Entry 1:
This entry pairs a crystal structure of Na2Zr2Te6Pd with its theoretical PXRD pattern. Radiation: Cu Kα. Structure: a PBE-relaxed structure.

Principal peaks in the range 2θ from 10° to 80°, in order of falling intensity:
- 2θ 29.7, I 100.0
- 2θ 11.6, I 64.9
- 2θ 40.4, I 52.7
- 2θ 29.5, I 46.8
- 2θ 44.1, I 32.9
- 2θ 26.3, I 17.7
- 2θ 50.8, I 17.3
- 2θ 44.4, I 15.4
- 2θ 54.2, I 15.0
- 2θ 37.4, I 12.4

Structural model:
a b c (Å): 7.0856 7.0856 8.0116
angles (deg): 98.66 98.66 119.52
Fractional coordinates of all 11 atoms:
Na 0.1586 0.8414 0.0000
Na 0.8414 0.1586 0.0000
Zr 0.3167 0.6833 0.5000
Zr 0.6833 0.3167 0.5000
Te 0.0990 0.4146 0.7282
Te 0.2539 0.2539 0.3035
Te 0.4146 0.0990 0.7282
Te 0.5854 0.9010 0.2718
Te 0.7461 0.7461 0.6965
Te 0.9010 0.5854 0.2718
Pd 0.0000 0.0000 0.5000

Entry 2:
This entry pairs a crystal structure of Pu4Mn4Ge with its theoretical PXRD pattern. Radiation: Cu Kα. Structure: a PBE-relaxed structure.

Principal peaks in the range 2θ from 10° to 80°, in order of falling intensity:
- 2θ 27.0, I 100.0
- 2θ 34.1, I 91.2
- 2θ 39.8, I 76.7
- 2θ 33.4, I 74.4
- 2θ 35.1, I 72.5
- 2θ 34.5, I 71.8
- 2θ 28.0, I 59.5
- 2θ 45.5, I 56.7
- 2θ 30.2, I 53.0
- 2θ 35.3, I 45.9

Structural model:
a b c (Å): 7.8167 4.6766 10.7769
angles (deg): 90.00 122.48 90.00
Fractional coordinates of all 18 atoms:
Pu 0.1860 0.1180 0.1919
Pu 0.1860 0.8820 0.6919
Pu 0.2644 0.3748 0.9255
Pu 0.2644 0.6252 0.4255
Pu 0.7356 0.3748 0.5745
Pu 0.7356 0.6252 0.0745
Pu 0.8140 0.1180 0.3081
Pu 0.8140 0.8820 0.8081
Mn 0.1311 0.3484 0.6015
Mn 0.1311 0.6516 0.1015
Mn 0.3423 0.0891 0.5061
Mn 0.3423 0.9109 0.0061
Mn 0.6577 0.0891 0.9939
Mn 0.6577 0.9109 0.4939
Mn 0.8689 0.3484 0.8985
Mn 0.8689 0.6516 0.3985
Ge 0.5000 0.3813 0.7500
Ge 0.5000 0.6187 0.2500

Entry 3:
This entry pairs a crystal structure of Ca2SiO4 with its theoretical PXRD pattern. Radiation: Cu Kα. Structure: a PBE-relaxed structure.

Principal peaks in the range 2θ from 10° to 80°, in order of falling intensity:
- 2θ 32.6, I 100.0
- 2θ 30.0, I 75.4
- 2θ 44.8, I 48.8
- 2θ 58.8, I 31.9
- 2θ 39.6, I 30.2
- 2θ 23.2, I 22.1
- 2θ 56.5, I 21.9
- 2θ 68.2, I 21.4
- 2θ 47.5, I 19.4
- 2θ 58.1, I 16.5

Structural model:
a b c (Å): 5.4989 5.4989 7.6548
angles (deg): 90.00 90.00 120.00
Fractional coordinates of all 14 atoms:
Ca 0.0000 0.0000 0.0000
Ca 0.0000 0.0000 0.5000
Ca 0.3333 0.6667 0.2562
Ca 0.6667 0.3333 0.7562
Si 0.3333 0.6667 0.7808
Si 0.6667 0.3333 0.2808
O 0.1687 0.3374 0.7196
O 0.1687 0.8313 0.7196
O 0.3333 0.6667 0.9925
O 0.3374 0.1687 0.2196
O 0.6626 0.8313 0.7196
O 0.6667 0.3333 0.4925
O 0.8313 0.1687 0.2196
O 0.8313 0.6626 0.2196

Entry 4:
This entry pairs a crystal structure of SrCdAgGe2 with its theoretical PXRD pattern. Radiation: Cu Kα. Structure: a PBE-relaxed structure.

Principal peaks in the range 2θ from 10° to 80°, in order of falling intensity:
- 2θ 32.1, I 100.0
- 2θ 39.9, I 50.8
- 2θ 42.6, I 30.1
- 2θ 30.8, I 25.0
- 2θ 67.6, I 21.9
- 2θ 44.7, I 17.9
- 2θ 57.7, I 16.6
- 2θ 15.6, I 15.2
- 2θ 61.4, I 13.7
- 2θ 51.2, I 11.8

Structural model:
a b c (Å): 4.5211 4.5211 11.3420
angles (deg): 90.00 90.00 90.00
Fractional coordinates of all 10 atoms:
Sr 0.0000 0.0000 0.0000
Sr 0.5000 0.5000 0.5000
Cd 0.0000 0.5000 0.7500
Cd 0.5000 0.0000 0.2500
Ag 0.0000 0.5000 0.2500
Ag 0.5000 0.0000 0.7500
Ge 0.0000 0.0000 0.3895
Ge 0.0000 0.0000 0.6105
Ge 0.5000 0.5000 0.1105
Ge 0.5000 0.5000 0.8895

Entry 5:
This entry pairs a crystal structure of ScZnPt with its theoretical PXRD pattern. Radiation: Cu Kα. Structure: a PBE-relaxed structure.

Principal peaks in the range 2θ from 10° to 80°, in order of falling intensity:
- 2θ 38.2, I 100.0
- 2θ 40.6, I 95.7
- 2θ 23.1, I 77.7
- 2θ 51.3, I 50.2
- 2θ 30.0, I 35.9
- 2θ 56.9, I 31.2
- 2θ 72.2, I 30.6
- 2θ 77.1, I 28.1
- 2θ 73.8, I 15.9
- 2θ 47.2, I 12.5

Structural model:
a b c (Å): 4.4490 4.4490 2.9771
angles (deg): 90.00 90.00 120.00
Fractional coordinates of all 3 atoms:
Sc 0.0000 0.0000 0.0000
Zn 0.6667 0.3333 0.5000
Pt 0.3333 0.6667 0.5000

Entry 6:
This entry pairs a crystal structure of PmB3Os3 with its theoretical PXRD pattern. Radiation: Cu Kα. Structure: a PBE-relaxed structure.

Principal peaks in the range 2θ from 10° to 80°, in order of falling intensity:
- 2θ 12.5, I 100.0
- 2θ 38.7, I 93.4
- 2θ 33.5, I 67.7
- 2θ 45.8, I 48.1
- 2θ 43.1, I 37.4
- 2θ 38.1, I 36.3
- 2θ 36.8, I 35.0
- 2θ 15.0, I 33.8
- 2θ 30.2, I 28.5
- 2θ 37.6, I 20.5

Structural model:
a b c (Å): 7.3315 3.9612 7.4543
angles (deg): 90.00 105.65 90.00
Fractional coordinates of all 14 atoms:
Pm 0.1550 0.2500 0.3510
Pm 0.8450 0.7500 0.6490
B 0.1900 0.2500 0.7247
B 0.2626 0.7500 0.0516
B 0.4455 0.7500 0.5575
B 0.5545 0.2500 0.4425
B 0.7374 0.2500 0.9484
B 0.8100 0.7500 0.2753
Os 0.2721 0.7500 0.7532
Os 0.3583 0.2500 0.0196
Os 0.4896 0.7500 0.2870
Os 0.5104 0.2500 0.7130
Os 0.6417 0.7500 0.9804
Os 0.7279 0.2500 0.2468

Entry 7:
This entry pairs a crystal structure of Sm2Y7Tm with its theoretical PXRD pattern. Radiation: Cu Kα. Structure: a PBE-relaxed structure.

Principal peaks in the range 2θ from 10° to 80°, in order of falling intensity:
- 2θ 30.6, I 100.0
- 2θ 35.5, I 50.2
- 2θ 51.1, I 29.2
- 2θ 60.8, I 20.7
- 2θ 60.8, I 17.2
- 2θ 63.8, I 5.9
- 2θ 51.2, I 5.8
- 2θ 75.3, I 3.6
- 2θ 60.9, I 3.6
- 2θ 20.1, I 3.2

Structural model:
a b c (Å): 6.1807 7.1513 7.9843
angles (deg): 102.91 97.30 106.74
Fractional coordinates of all 10 atoms:
Sm 0.1019 0.2005 0.1988
Sm 0.8981 0.7995 0.8012
Y 0.1000 0.6996 0.1986
Y 0.2996 0.1005 0.5999
Y 0.2997 0.5994 0.6002
Y 0.5000 0.0000 0.0000
Y 0.7003 0.4006 0.3998
Y 0.7004 0.8995 0.4001
Y 0.9000 0.3004 0.8014
Tm 0.5000 0.5000 0.0000

Entry 8:
This entry pairs a crystal structure of Pr4Nd3Ho with its theoretical PXRD pattern. Radiation: Cu Kα. Structure: a PBE-relaxed structure.

Principal peaks in the range 2θ from 10° to 80°, in order of falling intensity:
- 2θ 29.8, I 100.0
- 2θ 34.5, I 50.7
- 2θ 58.9, I 43.4
- 2θ 49.6, I 36.4
- 2θ 61.8, I 12.5
- 2θ 72.8, I 5.8

Structural model:
a b c (Å): 10.4051 7.3522 7.3457
angles (deg): 90.00 90.00 90.00
Fractional coordinates of all 16 atoms:
Pr 0.0000 0.0000 0.0000
Pr 0.0000 0.5000 0.5000
Pr 0.2500 0.2477 0.2500
Pr 0.2500 0.7523 0.7500
Pr 0.5000 0.0000 0.5000
Pr 0.5000 0.5000 0.0000
Pr 0.7500 0.2477 0.2500
Pr 0.7500 0.7523 0.7500
Nd 0.0000 0.5000 0.0000
Nd 0.2500 0.2478 0.7500
Nd 0.2500 0.7522 0.2500
Nd 0.5000 0.5000 0.5000
Nd 0.7500 0.2478 0.7500
Nd 0.7500 0.7522 0.2500
Ho 0.0000 0.0000 0.5000
Ho 0.5000 0.0000 0.0000

Entry 9:
This entry pairs a crystal structure of Cs4CaF5 with its theoretical PXRD pattern. Radiation: Cu Kα. Structure: a PBE-relaxed structure.

Principal peaks in the range 2θ from 10° to 80°, in order of falling intensity:
- 2θ 26.1, I 100.0
- 2θ 24.6, I 60.3
- 2θ 37.9, I 28.3
- 2θ 35.1, I 25.2
- 2θ 44.3, I 23.1
- 2θ 34.4, I 21.3
- 2θ 47.0, I 21.0
- 2θ 39.4, I 14.3
- 2θ 53.8, I 14.0
- 2θ 69.4, I 12.8

Structural model:
a b c (Å): 8.4012 8.4012 8.4012
angles (deg): 94.25 94.25 148.39
Fractional coordinates of all 10 atoms:
Cs 0.0887 0.2598 0.3485
Cs 0.2598 0.9113 0.1712
Cs 0.7402 0.0887 0.8288
Cs 0.9113 0.7402 0.6515
Ca 0.5000 0.5000 0.0000
F 0.0000 0.0000 0.0000
F 0.3258 0.3996 0.7254
F 0.3996 0.6742 0.0737
F 0.6004 0.3258 0.9263
F 0.6742 0.6004 0.2746

Entry 10:
This entry pairs a crystal structure of CsPaIrO4 with its theoretical PXRD pattern. Radiation: Cu Kα. Structure: a PBE-relaxed structure.

Principal peaks in the range 2θ from 10° to 80°, in order of falling intensity:
- 2θ 29.3, I 100.0
- 2θ 25.8, I 73.6
- 2θ 16.9, I 68.0
- 2θ 31.0, I 66.9
- 2θ 34.6, I 53.7
- 2θ 27.5, I 51.3
- 2θ 50.0, I 46.6
- 2θ 53.0, I 41.5
- 2θ 46.6, I 33.2
- 2θ 34.2, I 25.1

Structural model:
a b c (Å): 7.8862 7.8862 7.8862
angles (deg): 137.33 128.05 69.41
Fractional coordinates of all 14 atoms:
Cs 0.4326 0.1826 0.2500
Cs 0.5674 0.8174 0.7500
Pa 0.0000 0.5000 0.5000
Pa 0.5000 0.5000 0.0000
Ir 0.0000 0.0000 0.5000
Ir 0.0000 0.5000 0.0000
O 0.1066 0.6793 0.4273
O 0.2481 0.3207 0.9273
O 0.2656 0.2971 0.5314
O 0.2656 0.7342 0.9686
O 0.7344 0.2658 0.0314
O 0.7344 0.7029 0.4686
O 0.7519 0.6793 0.0727
O 0.8934 0.3207 0.5727

Entry 11:
This entry pairs a crystal structure of ZrTl3Cl6 with its theoretical PXRD pattern. Radiation: Cu Kα. Structure: a PBE-relaxed structure.

Principal peaks in the range 2θ from 10° to 80°, in order of falling intensity:
- 2θ 23.0, I 100.0
- 2θ 23.2, I 98.5
- 2θ 23.8, I 45.1
- 2θ 32.8, I 38.2
- 2θ 22.2, I 36.2
- 2θ 41.3, I 36.2
- 2θ 33.0, I 34.0
- 2θ 41.7, I 25.1
- 2θ 40.2, I 21.8
- 2θ 27.7, I 21.6

Structural model:
a b c (Å): 7.4687 8.0205 13.0923
angles (deg): 90.00 124.08 90.00
Fractional coordinates of all 20 atoms:
Zr 0.0000 0.0000 0.0000
Zr 0.0000 0.5000 0.5000
Tl 0.2800 0.0779 0.7520
Tl 0.2800 0.4221 0.2520
Tl 0.5000 0.0000 0.5000
Tl 0.5000 0.5000 0.0000
Tl 0.7200 0.5779 0.7480
Tl 0.7200 0.9221 0.2480
Cl 0.0968 0.0413 0.2197
Cl 0.0968 0.4587 0.7197
Cl 0.2152 0.7282 0.0636
Cl 0.2152 0.7718 0.5636
Cl 0.3386 0.1652 0.0560
Cl 0.3386 0.3348 0.5560
Cl 0.6614 0.6652 0.4440
Cl 0.6614 0.8348 0.9440
Cl 0.7848 0.2282 0.4364
Cl 0.7848 0.2718 0.9364
Cl 0.9032 0.5413 0.2803
Cl 0.9032 0.9587 0.7803

Entry 12:
This entry pairs a crystal structure of LiNbTl2S4 with its theoretical PXRD pattern. Radiation: Cu Kα. Structure: a PBE-relaxed structure.

Principal peaks in the range 2θ from 10° to 80°, in order of falling intensity:
- 2θ 27.6, I 100.0
- 2θ 26.8, I 53.9
- 2θ 16.3, I 52.4
- 2θ 15.8, I 42.1
- 2θ 24.1, I 41.5
- 2θ 33.9, I 40.3
- 2θ 25.3, I 36.0
- 2θ 28.4, I 32.2
- 2θ 36.5, I 24.6
- 2θ 45.0, I 23.6

Structural model:
a b c (Å): 6.5154 6.5343 6.8103
angles (deg): 112.50 116.06 98.09
Fractional coordinates of all 8 atoms:
Li 0.0000 0.0000 0.0000
Nb 0.7387 0.2385 0.5001
Tl 0.2865 0.7852 0.5008
Tl 0.5775 0.5772 0.9995
S 0.0316 0.5869 0.8682
S 0.3606 0.2256 0.4390
S 0.7187 0.1664 0.1320
S 0.7908 0.9232 0.5616